1.
# Ce3Si4Pd4
Simulated powder diffraction line list, Cu Kα X-rays. Input: a structure optimized by DFT (PBE).
Lines closer than 0.1° are merged.

Main lines, most intense first (5° ≤ 2θ ≤ 70°):
- 33.75 deg, I 100
- 33.51 deg, I 28
- 42.83 deg, I 20
- 44.20 deg, I 18
- 45.76 deg, I 14
- 23.68 deg, I 13

Cell and atoms:
a b c (Å): 12.697 12.697 12.697
angles (deg): 161.42 160.85 26.80
Fractional positions:
Ce 0.000 0.000 0.000
Ce 0.354 0.854 0.500
Ce 0.646 0.146 0.500
Si 0.196 0.696 0.500
Si 0.452 0.452 0.000
Si 0.548 0.548 0.000
Si 0.804 0.304 0.500
Pd 0.097 0.597 0.500
Pd 0.249 0.249 0.000
Pd 0.751 0.751 0.000
Pd 0.903 0.403 0.500

2.
# Ba6Co25S27
Simulated powder diffraction line list, Cu Kα X-rays. Input: a structure optimized by DFT (PBE).
Lines closer than 0.1° are merged.

Main lines, most intense first (5° ≤ 2θ ≤ 70°):
- 51.79 deg, I 100
- 31.02 deg, I 76
- 28.26 deg, I 72
- 26.78 deg, I 64
- 39.33 deg, I 55
- 29.67 deg, I 37

Cell and atoms:
a b c (Å): 9.986 9.986 9.986
angles (deg): 90.00 90.00 90.00
Fractional positions:
Ba 0.000 0.000 0.306
Ba 0.000 0.000 0.694
Ba 0.000 0.306 0.000
Ba 0.000 0.694 0.000
Ba 0.306 0.000 0.000
Ba 0.694 0.000 0.000
Co 0.130 0.371 0.371
Co 0.130 0.371 0.629
Co 0.130 0.629 0.371
Co 0.130 0.629 0.629
Co 0.371 0.130 0.371
Co 0.371 0.130 0.629
Co 0.371 0.371 0.130
Co 0.371 0.371 0.870
Co 0.371 0.629 0.130
Co 0.371 0.629 0.870
Co 0.371 0.870 0.371
Co 0.371 0.870 0.629
Co 0.500 0.500 0.500
Co 0.629 0.130 0.371
Co 0.629 0.130 0.629
Co 0.629 0.371 0.130
Co 0.629 0.371 0.870
Co 0.629 0.629 0.130
Co 0.629 0.629 0.870
Co 0.629 0.870 0.371
Co 0.629 0.870 0.629
Co 0.870 0.371 0.371
Co 0.870 0.371 0.629
Co 0.870 0.629 0.371
Co 0.870 0.629 0.629
S 0.000 0.000 0.000
S 0.000 0.256 0.500
S 0.000 0.500 0.256
S 0.000 0.500 0.744
S 0.000 0.744 0.500
S 0.239 0.239 0.239
S 0.239 0.239 0.761
S 0.239 0.761 0.239
S 0.239 0.761 0.761
S 0.256 0.000 0.500
S 0.256 0.500 0.000
S 0.261 0.500 0.500
S 0.500 0.000 0.256
S 0.500 0.000 0.744
S 0.500 0.256 0.000
S 0.500 0.261 0.500
S 0.500 0.500 0.261
S 0.500 0.500 0.739
S 0.500 0.739 0.500
S 0.500 0.744 0.000
S 0.739 0.500 0.500
S 0.744 0.000 0.500
S 0.744 0.500 0.000
S 0.761 0.239 0.239
S 0.761 0.239 0.761
S 0.761 0.761 0.239
S 0.761 0.761 0.761

3.
# KTeO4
Simulated powder diffraction line list, Cu Kα X-rays. Input: a structure optimized by DFT (PBE).
Lines closer than 0.1° are merged.

Main lines, most intense first (5° ≤ 2θ ≤ 70°):
- 15.49 deg, I 100
- 27.13 deg, I 57
- 26.48 deg, I 46
- 28.93 deg, I 18
- 40.50 deg, I 17
- 43.68 deg, I 14

Cell and atoms:
a b c (Å): 7.085 7.085 5.176
angles (deg): 110.35 110.35 109.01
Fractional positions:
K 0.162 0.838 0.750
K 0.838 0.162 0.250
Te 0.424 0.576 0.250
Te 0.576 0.424 0.750
O 0.127 0.501 0.216
O 0.287 0.388 0.778
O 0.388 0.287 0.278
O 0.499 0.873 0.284
O 0.501 0.127 0.716
O 0.612 0.713 0.722
O 0.713 0.612 0.222
O 0.873 0.499 0.784

Repeat the first record exactly.
# Ce3Si4Pd4
Simulated powder diffraction line list, Cu Kα X-rays. Input: a structure optimized by DFT (PBE).
Lines closer than 0.1° are merged.

Main lines, most intense first (5° ≤ 2θ ≤ 70°):
- 33.75 deg, I 100
- 33.51 deg, I 28
- 42.83 deg, I 20
- 44.20 deg, I 18
- 45.76 deg, I 14
- 23.68 deg, I 13

Cell and atoms:
a b c (Å): 12.697 12.697 12.697
angles (deg): 161.42 160.85 26.80
Fractional positions:
Ce 0.000 0.000 0.000
Ce 0.354 0.854 0.500
Ce 0.646 0.146 0.500
Si 0.196 0.696 0.500
Si 0.452 0.452 0.000
Si 0.548 0.548 0.000
Si 0.804 0.304 0.500
Pd 0.097 0.597 0.500
Pd 0.249 0.249 0.000
Pd 0.751 0.751 0.000
Pd 0.903 0.403 0.500